(1)
Theoretical X-ray diffraction stick pattern of AcPbSe for Cu Kα, 1.54184 Å, from a crystal structure in Alexandria, relaxed with GGA-PBE.
No peak broadening, texture or thermal motion is included.

The 12 most intense peaks (10° ≤ 2θ ≤ 90°), low angle first:
- 22.03°, I = 41
- 26.69°, I = 57
- 30.01°, I = 100
- 33.65°, I = 19
- 33.86°, I = 81
- 40.93°, I = 48
- 41.46°, I = 22
- 46.50°, I = 15
- 49.53°, I = 44
- 54.42°, I = 17
- 59.26°, I = 17
- 66.14°, I = 19

Crystal structure
```
data_AcPbSe
_chemical_formula_sum 'Ac2 Pb2 Se2'
_cell_length_a 4.405
_cell_length_b 4.415
_cell_length_c 10.021
_cell_angle_alpha 90.00
_cell_angle_beta 90.00
_cell_angle_gamma 90.00
_symmetry_space_group_name_H-M 'P 1'
_symmetry_Int_Tables_number 1
loop_
_symmetry_equiv_pos_as_xyz
'x,y,z'
loop_
_atom_site_label
_atom_site_fract_x
_atom_site_fract_y
_atom_site_fract_z
_atom_site_occupancy
Ac1 0.250 0.250 0.190 1
Ac2 0.750 0.750 0.810 1
Pb1 0.250 0.750 0.478 1
Pb2 0.750 0.250 0.522 1
Se1 0.250 0.250 0.874 1
Se2 0.750 0.750 0.126 1
```

---

(2)
Theoretical X-ray diffraction stick pattern of AcPb2Se3 for Cu Kα, 1.54184 Å, from a crystal structure in Alexandria, relaxed with GGA-PBE.
No peak broadening, texture or thermal motion is included.

The 12 most intense peaks (10° ≤ 2θ ≤ 90°), low angle first:
- 11.33°, I = 22
- 18.82°, I = 22
- 22.76°, I = 33
- 24.79°, I = 100
- 28.66°, I = 32
- 30.82°, I = 69
- 36.32°, I = 33
- 36.78°, I = 29
- 38.17°, I = 19
- 41.22°, I = 34
- 43.30°, I = 43
- 55.36°, I = 23

Crystal structure
```
data_AcPb2Se3
_chemical_formula_sum 'Ac2 Pb4 Se6'
_cell_length_a 8.799
_cell_length_b 8.799
_cell_length_c 6.250
_cell_angle_alpha 90.00
_cell_angle_beta 90.00
_cell_angle_gamma 125.24
_symmetry_space_group_name_H-M 'P 1'
_symmetry_Int_Tables_number 1
loop_
_symmetry_equiv_pos_as_xyz
'x,y,z'
loop_
_atom_site_label
_atom_site_fract_x
_atom_site_fract_y
_atom_site_fract_z
_atom_site_occupancy
Ac1 0.214 0.786 0.750 1
Ac2 0.786 0.214 0.250 1
Pb1 0.233 0.233 0.000 1
Pb2 0.233 0.233 0.500 1
Pb3 0.767 0.767 0.000 1
Pb4 0.767 0.767 0.500 1
Se1 0.043 0.381 0.750 1
Se2 0.381 0.043 0.250 1
Se3 0.421 0.579 0.250 1
Se4 0.579 0.421 0.750 1
Se5 0.619 0.957 0.750 1
Se6 0.957 0.619 0.250 1
```

---

(3)
Theoretical X-ray diffraction stick pattern of Ac4PbSe7 for Cu Kα, 1.54184 Å, from a crystal structure in Alexandria, relaxed with GGA-PBE.
No peak broadening, texture or thermal motion is included.

The 12 most intense peaks (10° ≤ 2θ ≤ 90°), low angle first:
- 21.43°, I = 100
- 21.76°, I = 91
- 27.47°, I = 71
- 27.87°, I = 50
- 28.94°, I = 95
- 30.07°, I = 66
- 32.05°, I = 40
- 34.53°, I = 45
- 37.39°, I = 71
- 40.99°, I = 36
- 41.26°, I = 60
- 41.53°, I = 44

Crystal structure
```
data_Ac4PbSe7
_chemical_formula_sum 'Ac4 Pb1 Se7'
_cell_length_a 7.629
_cell_length_b 7.629
_cell_length_c 12.919
_cell_angle_alpha 104.85
_cell_angle_beta 104.85
_cell_angle_gamma 33.34
_symmetry_space_group_name_H-M 'P 1'
_symmetry_Int_Tables_number 1
loop_
_symmetry_equiv_pos_as_xyz
'x,y,z'
loop_
_atom_site_label
_atom_site_fract_x
_atom_site_fract_y
_atom_site_fract_z
_atom_site_occupancy
Ac1 0.000 0.000 0.000 1
Ac2 0.206 0.206 0.778 1
Ac3 0.593 0.593 0.382 1
Ac4 0.898 0.898 0.567 1
Pb1 0.770 0.770 0.145 1
Se1 0.147 0.147 0.222 1
Se2 0.239 0.239 0.526 1
Se3 0.363 0.363 0.035 1
Se4 0.558 0.558 0.624 1
Se5 0.622 0.622 0.922 1
Se6 0.852 0.852 0.782 1
Se7 0.939 0.939 0.349 1
```

---

(4)
Theoretical X-ray diffraction stick pattern of Ac7SiPb2 for Cu Kα, 1.54184 Å, from a crystal structure in Alexandria, relaxed with GGA-PBE.
No peak broadening, texture or thermal motion is included.

The 12 most intense peaks (10° ≤ 2θ ≤ 90°), low angle first:
- 14.63°, I = 11
- 25.48°, I = 100
- 29.51°, I = 93
- 32.22°, I = 8
- 42.22°, I = 71
- 49.96°, I = 48
- 52.35°, I = 25
- 61.24°, I = 12
- 67.43°, I = 19
- 69.43°, I = 32
- 77.19°, I = 24
- 82.85°, I = 15

Crystal structure
```
data_Ac7SiPb2
_chemical_formula_sum 'Ac7 Si1 Pb2'
_cell_length_a 8.562
_cell_length_b 8.562
_cell_length_c 8.562
_cell_angle_alpha 60.00
_cell_angle_beta 60.00
_cell_angle_gamma 60.00
_symmetry_space_group_name_H-M 'P 1'
_symmetry_Int_Tables_number 1
loop_
_symmetry_equiv_pos_as_xyz
'x,y,z'
loop_
_atom_site_label
_atom_site_fract_x
_atom_site_fract_y
_atom_site_fract_z
_atom_site_occupancy
Ac1 0.000 0.000 0.000 1
Ac2 0.260 0.260 0.740 1
Ac3 0.260 0.740 0.260 1
Ac4 0.260 0.740 0.740 1
Ac5 0.740 0.260 0.260 1
Ac6 0.740 0.260 0.740 1
Ac7 0.740 0.740 0.260 1
Si1 0.500 0.500 0.500 1
Pb1 0.250 0.250 0.250 1
Pb2 0.750 0.750 0.750 1
```

---

(5)
Theoretical X-ray diffraction stick pattern of Ac5SmPb4 for Cu Kα, 1.54184 Å, from a crystal structure in Alexandria, relaxed with GGA-PBE.
No peak broadening, texture or thermal motion is included.

The 12 most intense peaks (10° ≤ 2θ ≤ 90°), low angle first:
- 19.91°, I = 21
- 30.09°, I = 55
- 31.26°, I = 51
- 31.43°, I = 100
- 31.80°, I = 96
- 43.94°, I = 40
- 46.67°, I = 17
- 54.04°, I = 22
- 54.76°, I = 20
- 55.74°, I = 21
- 56.00°, I = 30
- 57.24°, I = 19

Crystal structure
```
data_Ac5SmPb4
_chemical_formula_sum 'Ac5 Sm1 Pb4'
_cell_length_a 9.360
_cell_length_b 9.360
_cell_length_c 7.786
_cell_angle_alpha 90.90
_cell_angle_beta 90.90
_cell_angle_gamma 35.60
_symmetry_space_group_name_H-M 'P 1'
_symmetry_Int_Tables_number 1
loop_
_symmetry_equiv_pos_as_xyz
'x,y,z'
loop_
_atom_site_label
_atom_site_fract_x
_atom_site_fract_y
_atom_site_fract_z
_atom_site_occupancy
Ac1 0.000 0.000 0.000 1
Ac2 0.334 0.334 0.494 1
Ac3 0.335 0.335 0.000 1
Ac4 0.665 0.665 0.000 1
Ac5 0.666 0.666 0.506 1
Sm1 0.000 0.000 0.500 1
Pb1 0.172 0.172 0.748 1
Pb2 0.493 0.493 0.738 1
Pb3 0.507 0.507 0.262 1
Pb4 0.828 0.828 0.252 1
```

---

(6)
Theoretical X-ray diffraction stick pattern of Ac3SmPb2 for Cu Kα, 1.54184 Å, from a crystal structure in Alexandria, relaxed with GGA-PBE.
No peak broadening, texture or thermal motion is included.

The 12 most intense peaks (10° ≤ 2θ ≤ 90°), low angle first:
- 25.41°, I = 25
- 26.35°, I = 18
- 27.20°, I = 88
- 28.94°, I = 38
- 32.03°, I = 100
- 34.23°, I = 25
- 36.24°, I = 66
- 47.03°, I = 47
- 52.18°, I = 24
- 59.83°, I = 20
- 60.77°, I = 19
- 62.55°, I = 31

Crystal structure
```
data_Ac3SmPb2
_chemical_formula_sum 'Ac3 Sm1 Pb2'
_cell_length_a 4.958
_cell_length_b 4.958
_cell_length_c 9.255
_cell_angle_alpha 90.00
_cell_angle_beta 90.00
_cell_angle_gamma 90.00
_symmetry_space_group_name_H-M 'P 1'
_symmetry_Int_Tables_number 1
loop_
_symmetry_equiv_pos_as_xyz
'x,y,z'
loop_
_atom_site_label
_atom_site_fract_x
_atom_site_fract_y
_atom_site_fract_z
_atom_site_occupancy
Ac1 0.000 0.000 0.000 1
Ac2 0.000 0.500 0.651 1
Ac3 0.500 0.000 0.349 1
Sm1 0.500 0.500 0.000 1
Pb1 0.000 0.500 0.275 1
Pb2 0.500 0.000 0.725 1
```